Entry 1:
For Ce4DyP6, a cell relaxed with PBE gives the computed PXRD pattern in this record (Cu Kα X-rays).
Lines closer than 0.1° are merged.

Top 12 peaks for 10° ≤ 2θ ≤ 80°, by intensity:
2theta  d_spacing  I_rel
27.8  3.212  100
24.8  3.586  58
31.5  2.841  52
35.5  2.530  47
37.6  2.392  38
48.6  1.872  37
34.2  2.625  32
73.9  1.282  21
57.4  1.606  15
69.6  1.350  15
54.3  1.690  14
35.9  2.498  13

Structural model:
a b c (Å): 7.9536 7.9536 7.9536
angles (deg): 88.76 88.76 88.76
Positions (direct):
Ce 0.1301 0.7500 0.3699
Ce 0.2500 0.2500 0.2500
Ce 0.2500 0.6301 0.8699
Ce 0.3699 0.1301 0.7500
Ce 0.6301 0.8699 0.2500
Ce 0.7500 0.3699 0.1301
Ce 0.7500 0.7500 0.7500
Ce 0.8699 0.2500 0.6301
Dy 0.0000 0.0000 0.0000
Dy 0.5000 0.5000 0.5000
P 0.0679 0.9140 0.6781
P 0.0860 0.3219 0.9321
P 0.1781 0.4140 0.5679
P 0.3219 0.9321 0.0860
P 0.4140 0.5679 0.1781
P 0.4321 0.8219 0.5860
P 0.5679 0.1781 0.4140
P 0.5860 0.4321 0.8219
P 0.6781 0.0679 0.9140
P 0.8219 0.5860 0.4321
P 0.9140 0.6781 0.0679
P 0.9321 0.0860 0.3219

Entry 2:
For CeDySbP, a cell relaxed with PBE gives the computed PXRD pattern in this record (Cu Kα X-rays).
Lines closer than 0.1° are merged.

Top 12 peaks for 10° ≤ 2θ ≤ 80°, by intensity:
2theta  d_spacing  I_rel
29.8  2.997  100
43.0  2.105  38
42.4  2.134  35
53.2  1.722  19
70.7  1.333  17
25.9  3.445  15
69.8  1.348  13
32.5  2.756  12
78.3  1.221  11
61.9  1.498  11
24.8  3.592  9
59.0  1.565  8

Structural model:
a b c (Å): 7.4262 7.4262 7.4262
angles (deg): 32.93 32.93 32.93
Positions (direct):
Ce 0.0000 0.0000 0.0000
Dy 0.5171 0.5171 0.5171
Sb 0.7600 0.7600 0.7600
P 0.2570 0.2570 0.2570

Entry 3:
For CeDyY2P4, a cell relaxed with PBE gives the computed PXRD pattern in this record (Cu Kα X-rays).
Lines closer than 0.1° are merged.

Top 12 peaks for 10° ≤ 2θ ≤ 80°, by intensity:
2theta  d_spacing  I_rel
31.4  2.848  100
45.0  2.014  72
27.1  3.288  67
53.3  1.717  32
55.9  1.644  25
74.5  1.274  21
72.3  1.307  13
74.6  1.273  11
13.5  6.575  9
65.5  1.425  8
25.9  3.435  6
65.6  1.423  4

Structural model:
a b c (Å): 6.9707 4.0306 6.9725
angles (deg): 90.00 109.41 90.00
Positions (direct):
Ce 0.0000 0.0000 0.0000
Dy 0.0000 0.5000 0.5000
Y 0.5000 0.0000 0.5000
Y 0.5000 0.5000 0.0000
P 0.2494 0.0000 0.7497
P 0.2509 0.5000 0.2514
P 0.7491 0.5000 0.7486
P 0.7506 0.0000 0.2503

Entry 4:
For Ce6DyPb10, a cell relaxed with PBE gives the computed PXRD pattern in this record (Cu Kα X-rays).
Lines closer than 0.1° are merged.

Top 12 peaks for 10° ≤ 2θ ≤ 80°, by intensity:
2theta  d_spacing  I_rel
33.2  2.695  100
32.5  2.755  75
31.8  2.818  72
47.2  1.927  28
58.5  1.579  21
64.4  1.447  17
50.1  1.821  16
66.6  1.405  15
28.6  3.124  15
51.1  1.786  13
41.8  2.163  12
77.9  1.227  12

Structural model:
a b c (Å): 9.5430 9.5430 6.5324
angles (deg): 90.00 90.00 120.00
Positions (direct):
Ce 0.0000 0.3858 0.2622
Ce 0.0000 0.6142 0.7378
Ce 0.3858 0.0000 0.2622
Ce 0.3858 0.3858 0.7378
Ce 0.6142 0.0000 0.7378
Ce 0.6142 0.6142 0.2622
Dy 0.0000 0.0000 0.5000
Pb 0.0000 0.2655 0.7861
Pb 0.0000 0.7345 0.2139
Pb 0.2655 0.0000 0.7861
Pb 0.2655 0.2655 0.2139
Pb 0.3333 0.6667 0.0000
Pb 0.3333 0.6667 0.5000
Pb 0.6667 0.3333 0.0000
Pb 0.6667 0.3333 0.5000
Pb 0.7345 0.0000 0.2139
Pb 0.7345 0.7345 0.7861